# SmAuSO
Theoretical powder X-ray diffraction pattern, Cu Kα (weighted mean of Kα1 and Kα2). Input: the GGA-PBE geometry in OQMD.

The 12 most intense peaks (10 to 90 degrees two-theta), in order of falling intensity:
two_theta  I_rel
32.93  100
46.09  84
31.33  83
29.59  79
19.51  64
29.45  52
43.53  51
37.23  48
37.12  44
51.39  38
61.43  37
49.43  33

Cell and atoms:
Lattice parameters (Å, degrees): 5.699 5.711 9.100 90.00 90.00 90.00
Space group Pba2 (No. 32)
Unique sites:
Sm 0.000 0.000 0.000 x2
Sm 0.000 0.500 0.253 x2
Au 0.250 0.003 0.626 x4
S 0.000 0.000 0.413 x2
S 0.000 0.500 0.839 x2
O 0.250 0.250 0.126 x4

# SmAuSO
Theoretical powder X-ray diffraction pattern, Cu Kα (weighted mean of Kα1 and Kα2). Input: the GGA-PBE geometry in OQMD.

The 12 most intense peaks (10 to 90 degrees two-theta), in order of falling intensity:
two_theta  I_rel
26.99  100
44.48  83
33.39  81
27.63  80
32.59  78
21.82  64
32.14  55
17.41  54
41.32  48
23.49  42
34.83  35
61.49  33

Cell and atoms:
Lattice parameters (Å, degrees): 5.765 5.759 10.931 90.00 91.94 90.00
Space group P2_1 (No. 4)
Unique sites:
Sm 0.006 0.000 0.102 x2
Sm 0.494 0.000 0.898 x2
Au 0.002 0.021 0.717 x2
Au 0.309 0.274 0.503 x2
S 0.287 0.238 0.292 x2
S 0.293 0.306 0.713 x2
O 0.249 0.249 0.001 x2
O 0.252 0.749 0.000 x2

# SmAuSO
Theoretical powder X-ray diffraction pattern, Cu Kα (weighted mean of Kα1 and Kα2). Input: the GGA-PBE geometry in OQMD.

The 12 most intense peaks (10 to 90 degrees two-theta), in order of falling intensity:
two_theta  I_rel
29.60  100
32.91  77
37.21  70
46.07  64
31.33  64
19.58  48
43.61  39
51.49  29
61.52  28
54.72  27
49.43  25
24.13  20

Cell and atoms:
Lattice parameters (Å, degrees): 9.068 5.706 5.711 90.00 90.00 90.00
Space group Aem2 (No. 39)
Unique sites:
Sm 0.127 0.250 0.000 x4
Au 0.500 0.000 0.001 x4
S 0.287 0.250 0.501 x4
O 0.000 0.000 0.250 x4

Repeat the third record exactly.
# SmAuSO
Theoretical powder X-ray diffraction pattern, Cu Kα (weighted mean of Kα1 and Kα2). Input: the GGA-PBE geometry in OQMD.

The 12 most intense peaks (10 to 90 degrees two-theta), in order of falling intensity:
two_theta  I_rel
29.60  100
32.91  77
37.21  70
46.07  64
31.33  64
19.58  48
43.61  39
51.49  29
61.52  28
54.72  27
49.43  25
24.13  20

Cell and atoms:
Lattice parameters (Å, degrees): 9.068 5.706 5.711 90.00 90.00 90.00
Space group Aem2 (No. 39)
Unique sites:
Sm 0.127 0.250 0.000 x4
Au 0.500 0.000 0.001 x4
S 0.287 0.250 0.501 x4
O 0.000 0.000 0.250 x4